Theoretical XRD peak list of Li7Co5O12 for CuKα, from a DFT-relaxed cell (GGA+U, Alexandria).

Largest 10 diffraction maxima, in order of rising 2θ, 15 to 90 degrees two-theta:
| (hkl) | 2theta | intensity |
| --- | --- | --- |
| 1 0 0 | 18.79 | 100 |
| 0 0 3 | 37.17 | 36 |
| 1 -2 2 | 38.75 | 7 |
| 1 0 3 | 44.84 | 26 |
| 1 2 -2 | 44.97 | 50 |
| 3 -2 2 | 64.72 | 7 |
| 2 2 1 | 64.87 | 7 |
| 1 -4 1 | 65.76 | 7 |
| 0 2 -5 | 65.96 | 14 |
| 2 -4 1 | 69.08 | 7 |

Atomic structure:
abc: 4.996 5.680 7.489
angles: 100.97 95.73 106.63
Sites, in units of the cell vectors:
1 Li 0.000 0.000 0.000
2 Li 0.496 0.411 0.163
3 Li 0.499 0.079 0.838
4 Li 0.499 0.251 0.501
5 Li 0.501 0.749 0.499
6 Li 0.501 0.921 0.162
7 Li 0.504 0.589 0.837
8 Co 0.000 0.500 0.000
9 Co 0.002 0.330 0.330
10 Co 0.004 0.835 0.331
11 Co 0.996 0.165 0.669
12 Co 0.998 0.670 0.670
13 O 0.211 0.449 0.578
14 O 0.216 0.950 0.582
15 O 0.219 0.299 0.907
16 O 0.222 0.616 0.244
17 O 0.223 0.767 0.909
18 O 0.228 0.123 0.263
19 O 0.772 0.877 0.737
20 O 0.777 0.233 0.091
21 O 0.778 0.384 0.756
22 O 0.781 0.701 0.093
23 O 0.784 0.050 0.418
24 O 0.789 0.551 0.422